Diffraction record for Cs2RbW. The X-ray diffraction stick pattern is simulated, not measured: it uses a structure optimized by DFT (PBE) and CuKα.
No peak broadening, texture or thermal motion is included.

Top 10 peaks for 15° ≤ 2θ ≤ 90°, most intense first:
- 15.25°, I 100
- 30.78°, I 72
- 19.67°, I 54
- 29.27°, I 42
- 23.80°, I 38
- 17.49°, I 37
- 25.13°, I 31
- 35.41°, I 25
- 60.71°, I 23
- 29.94°, I 21

Crystal structure
```
data_Cs2RbW
_space_group_name_H-M_alt 'I 41/a m d'
_space_group_IT_number 141
_cell_length_a 10.1410
_cell_length_b 10.1410
_cell_length_c 19.8169
_cell_angle_alpha 90.00
_cell_angle_beta 90.00
_cell_angle_gamma 90.00
loop_
_space_group_symop_operation_xyz
'x,y,z'
'-x,-y,-z'
'-y+1/4,x+3/4,z+1/4'
'y+1/4,-x+3/4,-z+1/4'
'-x+1/2,-y,z+1/2'
'x+1/2,y,-z+1/2'
'y+1/4,-x+1/4,z+3/4'
'-y+1/4,x+1/4,-z+3/4'
'x,-y,-z'
'-x,y,z'
'-y+1/4,-x+1/4,-z+3/4'
'y+1/4,x+1/4,z+3/4'
'-x+1/2,y,-z+1/2'
'x+1/2,-y,z+1/2'
'y+1/4,x+3/4,-z+1/4'
'-y+1/4,-x+3/4,z+1/4'
'x+1/2,y+1/2,z+1/2'
'-x+1/2,-y+1/2,-z+1/2'
'-y+3/4,x+1/4,z+3/4'
'y+3/4,-x+1/4,-z+3/4'
'-x,-y+1/2,z'
'x,y+1/2,-z'
'y+3/4,-x+3/4,z+1/4'
'-y+3/4,x+3/4,-z+1/4'
'x+1/2,-y+1/2,-z+1/2'
'-x+1/2,y+1/2,z+1/2'
'-y+3/4,-x+3/4,-z+1/4'
'y+3/4,x+3/4,z+1/4'
'-x,y+1/2,-z'
'x,-y+1/2,z'
'y+3/4,x+1/4,-z+3/4'
'-y+3/4,-x+1/4,z+3/4'
loop_
_atom_site_label
_atom_site_fract_x
_atom_site_fract_y
_atom_site_fract_z
Cs1 0.0000 0.0000 0.0000
Rb1 0.0000 0.2500 0.3750
W1 0.0000 0.2500 0.8750
```